[1]
For PmTmB4, a GGA-PBE-relaxed structure gives the computed PXRD pattern in this record (a wavelength of 1.5418 Å).

Main lines, in order of rising 2θ (2θ = 10–90°):
- 22.38°, d = 3.972 Å, I = 100
- 29.42°, d = 3.036 Å, I = 51
- 37.10°, d = 2.424 Å, I = 38
- 37.28°, d = 2.412 Å, I = 67
- 39.88°, d = 2.260 Å, I = 37
- 42.93°, d = 2.107 Å, I = 41

Structural model:
Lattice parameters (Å, degrees): 6.268 12.235 3.972 90.00 90.00 90.00
Positions (direct):
Pm: 0.133 0.152 0.000
Pm: 0.367 0.652 0.000
Pm: 0.633 0.348 0.000
Pm: 0.867 0.848 0.000
Tm: 0.143 0.410 0.000
Tm: 0.357 0.910 0.000
Tm: 0.643 0.090 0.000
Tm: 0.857 0.590 0.000
B: 0.032 0.694 0.500
B: 0.116 0.548 0.500
B: 0.127 0.974 0.500
B: 0.203 0.808 0.500
B: 0.297 0.308 0.500
B: 0.373 0.474 0.500
B: 0.384 0.048 0.500
B: 0.468 0.194 0.500
B: 0.532 0.806 0.500
B: 0.616 0.952 0.500
B: 0.627 0.526 0.500
B: 0.703 0.692 0.500
B: 0.797 0.192 0.500
B: 0.873 0.026 0.500
B: 0.884 0.452 0.500
B: 0.968 0.306 0.500

[2]
For PmVB14, a GGA-PBE-relaxed structure gives the computed PXRD pattern in this record (a wavelength of 1.5418 Å).

Main lines, in order of rising 2θ (2θ = 10–90°):
- 16.40°, d = 5.407 Å, I = 100
- 24.91°, d = 3.575 Å, I = 73
- 27.75°, d = 3.215 Å, I = 88
- 33.62°, d = 2.666 Å, I = 95
- 36.52°, d = 2.461 Å, I = 63
- 41.29°, d = 2.187 Å, I = 83

Structural model:
Lattice parameters (Å, degrees): 7.399 7.399 7.399 133.51 86.10 112.30
Positions (direct):
Pm: 0.382 0.132 0.250
Pm: 0.618 0.868 0.750
V: 0.000 0.000 0.500
V: 0.000 0.500 0.000
B: 0.005 0.132 0.873
B: 0.029 0.202 0.330
B: 0.029 0.699 0.827
B: 0.084 0.668 0.416
B: 0.197 0.530 0.667
B: 0.223 0.501 0.401
B: 0.223 0.822 0.723
B: 0.241 0.868 0.373
B: 0.247 0.332 0.916
B: 0.362 0.530 0.833
B: 0.373 0.202 0.673
B: 0.373 0.699 0.170
B: 0.401 0.178 0.901
B: 0.401 0.499 0.223
B: 0.599 0.501 0.777
B: 0.599 0.822 0.099
B: 0.627 0.301 0.830
B: 0.627 0.798 0.327
B: 0.638 0.470 0.167
B: 0.753 0.668 0.084
B: 0.759 0.132 0.627
B: 0.777 0.178 0.277
B: 0.777 0.499 0.599
B: 0.803 0.470 0.333
B: 0.916 0.332 0.584
B: 0.971 0.301 0.173
B: 0.971 0.798 0.670
B: 0.995 0.868 0.127

[3]
For PmYB12, a GGA-PBE-relaxed structure gives the computed PXRD pattern in this record (a wavelength of 1.5418 Å).

Main lines, in order of rising 2θ (2θ = 10–90°):
- 21.60°, d = 4.113 Å, I = 57
- 30.74°, d = 2.909 Å, I = 100
- 37.88°, d = 2.375 Å, I = 43
- 49.55°, d = 1.840 Å, I = 48
- 54.65°, d = 1.679 Å, I = 25
- 68.42°, d = 1.371 Å, I = 28

Structural model:
Lattice parameters (Å, degrees): 4.113 4.113 8.228 90.00 90.00 90.00
Positions (direct):
Pm: 0.000 0.000 0.000
Y: 0.000 0.000 0.500
B: 0.199 0.500 0.251
B: 0.199 0.500 0.749
B: 0.500 0.199 0.251
B: 0.500 0.199 0.749
B: 0.500 0.500 0.100
B: 0.500 0.500 0.401
B: 0.500 0.500 0.599
B: 0.500 0.500 0.900
B: 0.500 0.801 0.251
B: 0.500 0.801 0.749
B: 0.801 0.500 0.251
B: 0.801 0.500 0.749

[4]
For PmZrB12, a GGA-PBE-relaxed structure gives the computed PXRD pattern in this record (a wavelength of 1.5418 Å).

Main lines, in order of rising 2θ (2θ = 10–90°):
- 21.73°, d = 4.091 Å, I = 58
- 30.92°, d = 2.893 Å, I = 100
- 38.10°, d = 2.362 Å, I = 43
- 49.85°, d = 1.829 Å, I = 48
- 54.98°, d = 1.670 Å, I = 25
- 68.85°, d = 1.364 Å, I = 27

Structural model:
Lattice parameters (Å, degrees): 4.094 4.094 8.170 90.00 90.00 90.00
Positions (direct):
Pm: 0.000 0.000 0.000
Zr: 0.000 0.000 0.500
B: 0.198 0.500 0.253
B: 0.198 0.500 0.747
B: 0.500 0.198 0.253
B: 0.500 0.198 0.747
B: 0.500 0.500 0.101
B: 0.500 0.500 0.402
B: 0.500 0.500 0.598
B: 0.500 0.500 0.899
B: 0.500 0.802 0.253
B: 0.500 0.802 0.747
B: 0.802 0.500 0.253
B: 0.802 0.500 0.747

[5]
For PrB3Pt6, a GGA-PBE-relaxed structure gives the computed PXRD pattern in this record (a wavelength of 1.5418 Å).

Main lines, in order of rising 2θ (2θ = 10–90°):
- 31.64°, d = 2.828 Å, I = 45
- 33.67°, d = 2.662 Å, I = 100
- 36.39°, d = 2.469 Å, I = 58
- 37.47°, d = 2.400 Å, I = 62
- 43.27°, d = 2.091 Å, I = 47
- 44.75°, d = 2.025 Å, I = 52

Structural model:
Lattice parameters (Å, degrees): 5.657 5.670 5.839 110.59 90.66 119.43
Positions (direct):
Pr: 0.000 0.000 0.000
B: 0.131 0.241 0.517
B: 0.349 0.734 0.145
B: 0.703 0.414 0.163
Pt: 0.098 0.581 0.392
Pt: 0.468 0.947 0.871
Pt: 0.473 0.451 0.876
Pt: 0.480 0.187 0.394
Pt: 0.711 0.816 0.404
Pt: 0.956 0.405 0.812

[6]
For Pr2SiBPt6, a GGA-PBE-relaxed structure gives the computed PXRD pattern in this record (a wavelength of 1.5418 Å).

Main lines, in order of rising 2θ (2θ = 10–90°):
- 33.67°, d = 2.662 Å, I = 19
- 35.21°, d = 2.549 Å, I = 100
- 40.38°, d = 2.234 Å, I = 11
- 44.11°, d = 2.053 Å, I = 32
- 56.62°, d = 1.626 Å, I = 18
- 75.34°, d = 1.261 Å, I = 22

Structural model:
Lattice parameters (Å, degrees): 6.723 6.723 6.723 128.83 128.83 75.28
Positions (direct):
Pr: 0.000 0.500 0.500
Pr: 0.500 0.000 0.500
Si: 0.358 0.358 0.000
B: 0.860 0.860 0.000
Pt: 0.059 0.059 0.000
Pt: 0.514 0.514 0.516
Pt: 0.514 0.998 0.000
Pt: 0.573 0.573 0.000
Pt: 0.998 0.514 0.000
Pt: 0.998 0.998 0.484

[7]
For Pr3SiB2Pt9, a GGA-PBE-relaxed structure gives the computed PXRD pattern in this record (a wavelength of 1.5418 Å).

Main lines, in order of rising 2θ (2θ = 10–90°):
- 29.51°, d = 3.027 Å, I = 38
- 36.78°, d = 2.444 Å, I = 100
- 40.74°, d = 2.215 Å, I = 74
- 54.22°, d = 1.692 Å, I = 16
- 63.51°, d = 1.465 Å, I = 27
- 71.56°, d = 1.319 Å, I = 21

Structural model:
Lattice parameters (Å, degrees): 5.859 5.859 9.080 90.00 90.00 120.00
Positions (direct):
Pr: 0.000 0.000 0.000
Pr: 0.333 0.667 0.611
Pr: 0.667 0.333 0.389
Si: 0.000 0.000 0.500
B: 0.333 0.667 0.151
B: 0.667 0.333 0.849
Pt: 0.000 0.500 0.000
Pt: 0.164 0.329 0.294
Pt: 0.164 0.836 0.294
Pt: 0.329 0.164 0.706
Pt: 0.500 0.000 0.000
Pt: 0.500 0.500 0.000
Pt: 0.671 0.836 0.294
Pt: 0.836 0.164 0.706
Pt: 0.836 0.671 0.706

[8]
For Pr4B3Rh12, a GGA-PBE-relaxed structure gives the computed PXRD pattern in this record (a wavelength of 1.5418 Å).

Main lines, in order of rising 2θ (2θ = 10–90°):
- 36.74°, d = 2.446 Å, I = 100
- 42.28°, d = 2.137 Å, I = 36
- 43.45°, d = 2.083 Å, I = 16
- 61.34°, d = 1.511 Å, I = 12
- 62.24°, d = 1.492 Å, I = 21
- 73.68°, d = 1.286 Å, I = 25

Structural model:
Lattice parameters (Å, degrees): 4.275 4.275 16.661 90.00 90.00 90.00
Positions (direct):
Pr: 0.000 0.000 0.121
Pr: 0.000 0.000 0.374
Pr: 0.000 0.000 0.626
Pr: 0.000 0.000 0.879
B: 0.500 0.500 0.238
B: 0.500 0.500 0.500
B: 0.500 0.500 0.762
Rh: 0.000 0.500 0.000
Rh: 0.000 0.500 0.247
Rh: 0.000 0.500 0.500
Rh: 0.000 0.500 0.753
Rh: 0.500 0.000 0.000
Rh: 0.500 0.000 0.247
Rh: 0.500 0.000 0.500
Rh: 0.500 0.000 0.753
Rh: 0.500 0.500 0.114
Rh: 0.500 0.500 0.371
Rh: 0.500 0.500 0.629
Rh: 0.500 0.500 0.886

[9]
For PrB2Rh6, a GGA-PBE-relaxed structure gives the computed PXRD pattern in this record (a wavelength of 1.5418 Å).

Main lines, in order of rising 2θ (2θ = 10–90°):
- 27.92°, d = 3.195 Å, I = 31
- 33.83°, d = 2.649 Å, I = 100
- 36.98°, d = 2.431 Å, I = 58
- 44.42°, d = 2.039 Å, I = 36
- 48.60°, d = 1.873 Å, I = 53
- 67.94°, d = 1.380 Å, I = 26

Structural model:
Lattice parameters (Å, degrees): 7.493 7.493 7.493 60.00 60.00 60.00
Positions (direct):
Pr: 0.125 0.125 0.125
Pr: 0.875 0.875 0.875
B: 0.000 0.500 0.500
B: 0.500 0.000 0.500
B: 0.500 0.500 0.000
B: 0.500 0.500 0.500
Rh: 0.170 0.170 0.580
Rh: 0.170 0.580 0.170
Rh: 0.170 0.580 0.580
Rh: 0.420 0.420 0.830
Rh: 0.420 0.830 0.420
Rh: 0.420 0.830 0.830
Rh: 0.580 0.170 0.170
Rh: 0.580 0.170 0.580
Rh: 0.580 0.580 0.170
Rh: 0.830 0.420 0.420
Rh: 0.830 0.420 0.830
Rh: 0.830 0.830 0.420

[10]
For PrSi2BRu2, a GGA-PBE-relaxed structure gives the computed PXRD pattern in this record (a wavelength of 1.5418 Å).

Main lines, in order of rising 2θ (2θ = 10–90°):
- 27.06°, d = 3.295 Å, I = 24
- 33.03°, d = 2.712 Å, I = 21
- 34.77°, d = 2.580 Å, I = 100
- 39.71°, d = 2.270 Å, I = 23
- 43.63°, d = 2.074 Å, I = 37
- 74.39°, d = 1.275 Å, I = 21

Structural model:
Lattice parameters (Å, degrees): 4.149 4.149 5.423 90.00 90.00 90.00
Positions (direct):
Pr: 0.000 0.000 0.000
Si: 0.500 0.500 0.224
Si: 0.500 0.500 0.776
B: 0.000 0.000 0.500
Ru: 0.000 0.500 0.500
Ru: 0.500 0.000 0.500

[11]
For Pr5BS4, a GGA-PBE-relaxed structure gives the computed PXRD pattern in this record (a wavelength of 1.5418 Å).

Main lines, in order of rising 2θ (2θ = 10–90°):
- 26.65°, d = 3.346 Å, I = 100
- 30.82°, d = 2.901 Å, I = 79
- 30.94°, d = 2.890 Å, I = 39
- 44.21°, d = 2.049 Å, I = 84
- 52.31°, d = 1.749 Å, I = 30
- 54.89°, d = 1.673 Å, I = 28

Structural model:
Lattice parameters (Å, degrees): 7.102 7.102 7.102 99.53 99.53 131.97
Positions (direct):
Pr: 0.000 0.000 0.000
Pr: 0.215 0.594 0.809
Pr: 0.406 0.215 0.621
Pr: 0.594 0.785 0.379
Pr: 0.785 0.406 0.191
B: 0.500 0.500 0.000
S: 0.098 0.301 0.399
S: 0.301 0.902 0.204
S: 0.699 0.098 0.796
S: 0.902 0.699 0.601

[12]
For Pr2BS4, a GGA-PBE-relaxed structure gives the computed PXRD pattern in this record (a wavelength of 1.5418 Å).

Main lines, in order of rising 2θ (2θ = 10–90°):
- 20.30°, d = 4.375 Å, I = 100
- 28.35°, d = 3.148 Å, I = 40
- 31.79°, d = 2.815 Å, I = 70
- 35.05°, d = 2.560 Å, I = 49
- 38.19°, d = 2.357 Å, I = 61
- 41.27°, d = 2.188 Å, I = 37

Structural model:
Lattice parameters (Å, degrees): 6.509 6.156 7.666 90.00 107.14 90.00
Positions (direct):
Pr: 0.227 0.250 0.433
Pr: 0.260 0.250 0.939
Pr: 0.740 0.750 0.061
Pr: 0.773 0.750 0.567
B: 0.291 0.750 0.202
B: 0.709 0.250 0.798
S: 0.112 0.750 0.374
S: 0.125 0.750 0.941
S: 0.482 0.507 0.256
S: 0.482 0.993 0.256
S: 0.518 0.007 0.744
S: 0.518 0.493 0.744
S: 0.875 0.250 0.059
S: 0.888 0.250 0.626